[1]
Starting from DFT lattice parameters and positions (PBE), the powder diffractogram of Nd8AlHg2 was simulated for copper Kα.

Largest 12 diffraction maxima, low angle first, 2θ from 15° to 90°:
| 2theta | I/Imax |
| --- | --- |
| 28.29 | 27 |
| 29.42 | 16 |
| 30.07 | 100 |
| 30.61 | 28 |
| 32.82 | 38 |
| 32.93 | 12 |
| 33.57 | 50 |
| 34.30 | 22 |
| 36.06 | 12 |
| 37.43 | 12 |
| 57.07 | 16 |
| 57.88 | 13 |

Atomic structure:
Cell lengths 9.8037, 9.8037, 7.2219 Å; angles 108.03, 108.03, 31.60 degrees
Atoms (fractional coordinates):
Nd  0.0175  0.0175  0.2719
Nd  0.1962  0.1962  0.8148
Nd  0.3344  0.3344  0.5201
Nd  0.4100  0.4100  0.0374
Nd  0.5900  0.5900  0.9626
Nd  0.6656  0.6656  0.4799
Nd  0.8038  0.8038  0.1852
Nd  0.9825  0.9825  0.7281
Al  0.5000  0.5000  0.5000
Hg  0.1763  0.1763  0.2214
Hg  0.8237  0.8237  0.7786


[2]
Starting from DFT lattice parameters and positions (PBE), the powder diffractogram of TbTiPb was simulated for copper Kα.

Largest 12 diffraction maxima, low angle first, 2θ from 15° to 90°:
| 2theta | I/Imax |
| --- | --- |
| 22.00 | 45 |
| 29.24 | 86 |
| 30.29 | 26 |
| 31.31 | 27 |
| 36.89 | 100 |
| 39.42 | 36 |
| 41.83 | 56 |
| 47.75 | 25 |
| 58.83 | 23 |
| 61.23 | 27 |
| 73.14 | 28 |
| 76.92 | 28 |

Atomic structure:
Cell lengths 4.3191, 4.3191, 8.0811 Å; angles 90.00, 90.00, 90.00 degrees
Atoms (fractional coordinates):
Tb  0.2500  0.2500  0.1634
Tb  0.7500  0.7500  0.8366
Ti  0.2500  0.7500  0.5000
Ti  0.7500  0.2500  0.5000
Pb  0.2500  0.2500  0.7546
Pb  0.7500  0.7500  0.2454


[3]
Starting from DFT lattice parameters and positions (PBE), the powder diffractogram of LaPm2AgHg4 was simulated for copper Kα.

Largest 12 diffraction maxima, low angle first, 2θ from 15° to 90°:
| 2theta | I/Imax |
| --- | --- |
| 23.65 | 9 |
| 32.76 | 100 |
| 34.61 | 95 |
| 48.40 | 34 |
| 53.29 | 4 |
| 57.28 | 16 |
| 60.85 | 34 |
| 62.02 | 18 |
| 68.68 | 9 |
| 73.01 | 11 |
| 79.24 | 12 |
| 82.35 | 17 |

Atomic structure:
Cell lengths 9.6637, 9.6637, 9.6637 Å; angles 31.11, 31.11, 31.11 degrees
Atoms (fractional coordinates):
La  0.0000  0.0000  0.0000
Pm  0.2387  0.2387  0.2387
Pm  0.7613  0.7613  0.7613
Ag  0.5000  0.5000  0.5000
Hg  0.1255  0.1255  0.1255
Hg  0.3800  0.3800  0.3800
Hg  0.6200  0.6200  0.6200
Hg  0.8745  0.8745  0.8745